Entry 1:
Starting from a DFT-relaxed cell (GGA-PBE, Alexandria), the powder diffractogram of Ac3La3Sm4 was calculated for Cu Kα (weighted mean of Kα1 and Kα2).

The 12 most intense peaks (10 to 90 degrees two-theta), most intense first:
29.3°, I 100.0
30.6°, I 98.6
30.7°, I 92.5
28.2°, I 81.1
28.0°, I 80.4
52.1°, I 31.5
47.3°, I 26.7
36.8°, I 26.7
54.8°, I 26.6
25.2°, I 26.2
56.0°, I 24.4
55.9°, I 23.9

Structural model:
a b c (Å): 3.8412 10.0494 10.0494
angles (deg): 89.34 90.00 90.00
Atoms (fractional coordinates):
Ac  0.0000  0.0000  0.0000
Ac  0.5000  0.3259  0.8266
Ac  0.5000  0.8266  0.3259
La  0.0000  0.1529  0.5034
La  0.0000  0.5034  0.1529
La  0.0000  0.6486  0.6486
Sm  0.5000  0.2092  0.2092
Sm  0.5000  0.4499  0.4499
Sm  0.5000  0.6959  0.9421
Sm  0.5000  0.9421  0.6959



Entry 2:
Starting from a DFT-relaxed cell (GGA-PBE, Alexandria), the powder diffractogram of AcLa6Sm12 was calculated for Cu Kα (weighted mean of Kα1 and Kα2).

The 12 most intense peaks (10 to 90 degrees two-theta), most intense first:
27.3°, I 100.0
33.3°, I 47.4
25.6°, I 45.3
39.8°, I 43.3
32.9°, I 35.6
30.3°, I 32.6
31.4°, I 32.6
46.4°, I 32.4
41.9°, I 21.5
57.0°, I 20.1
35.3°, I 17.7
54.7°, I 17.4

Structural model:
a b c (Å): 9.0826 9.0826 9.0826
angles (deg): 102.13 102.13 102.13
Atoms (fractional coordinates):
Ac  0.0000  0.0000  0.0000
La  0.2393  0.2393  0.7291
La  0.2393  0.7291  0.2393
La  0.2709  0.7607  0.7607
La  0.7291  0.2393  0.2393
La  0.7607  0.2709  0.7607
La  0.7607  0.7607  0.2709
Sm  0.1148  0.5000  0.8852
Sm  0.1148  0.8852  0.5000
Sm  0.1577  0.4289  0.4289
Sm  0.4289  0.1577  0.4289
Sm  0.4289  0.4289  0.1577
Sm  0.5000  0.1148  0.8852
Sm  0.5000  0.8852  0.1148
Sm  0.5711  0.5711  0.8423
Sm  0.5711  0.8423  0.5711
Sm  0.8423  0.5711  0.5711
Sm  0.8852  0.1148  0.5000
Sm  0.8852  0.5000  0.1148



Entry 3:
Starting from a DFT-relaxed cell (GGA-PBE, Alexandria), the powder diffractogram of Ac4La3Sm4 was calculated for Cu Kα (weighted mean of Kα1 and Kα2).

The 12 most intense peaks (10 to 90 degrees two-theta), most intense first:
28.5°, I 100.0
36.4°, I 53.3
30.0°, I 51.2
32.0°, I 36.3
23.9°, I 31.2
59.5°, I 26.6
27.3°, I 25.0
31.0°, I 24.8
31.2°, I 23.6
31.4°, I 17.2
58.2°, I 16.0
48.7°, I 15.8

Structural model:
a b c (Å): 11.6352 11.6352 11.6352
angles (deg): 161.50 118.37 64.94
Atoms (fractional coordinates):
Ac  0.2032  0.2032  0.0000
Ac  0.2805  0.5000  0.7805
Ac  0.7195  0.5000  0.2195
Ac  0.7968  0.7968  0.0000
La  0.0000  0.0000  0.0000
La  0.3892  0.8892  0.5000
La  0.6108  0.1108  0.5000
Sm  0.0824  0.3242  0.7581
Sm  0.4339  0.6758  0.7581
Sm  0.5661  0.3242  0.2419
Sm  0.9176  0.6758  0.2419



Entry 4:
Starting from a DFT-relaxed cell (GGA-PBE, Alexandria), the powder diffractogram of Ac3La4Sm was calculated for Cu Kα (weighted mean of Kα1 and Kα2).

The 12 most intense peaks (10 to 90 degrees two-theta), most intense first:
28.6°, I 100.0
33.1°, I 34.1
56.5°, I 30.0
47.7°, I 18.8
47.6°, I 18.6
33.3°, I 17.0
56.7°, I 15.0
59.3°, I 13.0
77.0°, I 9.0
79.2°, I 8.3
76.9°, I 6.0
79.6°, I 5.6

Structural model:
a b c (Å): 6.6054 6.6054 10.8238
angles (deg): 114.23 114.23 48.28
Atoms (fractional coordinates):
Ac  0.0000  0.0000  0.0000
Ac  0.4976  0.4976  0.2557
Ac  0.5024  0.5024  0.7443
La  0.2493  0.2493  0.3782
La  0.2500  0.2500  0.8711
La  0.7500  0.7500  0.1289
La  0.7507  0.7507  0.6218
Sm  0.0000  0.0000  0.5000



Entry 5:
Starting from a DFT-relaxed cell (GGA-PBE, Alexandria), the powder diffractogram of Ac2La7Sm3 was calculated for Cu Kα (weighted mean of Kα1 and Kα2).

The 12 most intense peaks (10 to 90 degrees two-theta), most intense first:
29.8°, I 100.0
29.4°, I 58.7
32.9°, I 37.5
31.5°, I 32.5
29.9°, I 27.5
29.2°, I 25.6
26.8°, I 23.6
43.6°, I 21.5
51.8°, I 20.6
31.6°, I 19.2
30.7°, I 17.8
48.8°, I 17.5

Structural model:
a b c (Å): 6.0941 3.7340 19.9822
angles (deg): 90.00 93.62 90.00
Atoms (fractional coordinates):
Ac  0.1937  0.0000  0.2965
Ac  0.8063  0.0000  0.7035
La  0.1683  0.5000  0.1409
La  0.2419  0.0000  0.4685
La  0.3317  0.0000  0.8262
La  0.5000  0.5000  0.0000
La  0.6683  0.0000  0.1738
La  0.7581  0.0000  0.5315
La  0.8317  0.5000  0.8591
Sm  0.0000  0.0000  0.0000
Sm  0.2916  0.5000  0.6307
Sm  0.7084  0.5000  0.3693



Entry 6:
Starting from a DFT-relaxed cell (GGA-PBE, Alexandria), the powder diffractogram of Ac6LaSm was calculated for Cu Kα (weighted mean of Kα1 and Kα2).

The 12 most intense peaks (10 to 90 degrees two-theta), most intense first:
27.9°, I 100.0
32.2°, I 34.6
46.4°, I 25.6
32.5°, I 16.9
54.7°, I 15.9
54.8°, I 15.5
55.2°, I 15.5
76.7°, I 8.8
57.5°, I 6.9
57.7°, I 6.7
46.0°, I 6.6
74.6°, I 6.4

Structural model:
a b c (Å): 9.5940 8.7891 6.7766
angles (deg): 74.85 62.16 42.98
Atoms (fractional coordinates):
Ac  0.1216  0.1216  0.3784
Ac  0.2489  0.2489  0.7511
Ac  0.3784  0.3784  0.1216
Ac  0.6216  0.6216  0.8784
Ac  0.7511  0.7511  0.2489
Ac  0.8784  0.8784  0.6216
La  0.5000  0.5000  0.5000
Sm  0.0000  0.0000  0.0000



Entry 7:
Starting from a DFT-relaxed cell (GGA-PBE, Alexandria), the powder diffractogram of Ac8LaSm5 was calculated for Cu Kα (weighted mean of Kα1 and Kα2).

The 12 most intense peaks (10 to 90 degrees two-theta), most intense first:
31.2°, I 100.0
27.5°, I 77.1
25.8°, I 62.4
27.3°, I 61.5
32.5°, I 50.0
32.0°, I 48.4
29.5°, I 26.8
51.9°, I 25.4
56.7°, I 22.1
21.0°, I 22.0
57.7°, I 21.7
51.0°, I 20.8

Structural model:
a b c (Å): 9.1057 9.1057 9.1057
angles (deg): 111.43 111.43 105.62
Atoms (fractional coordinates):
Ac  0.1629  0.4308  0.0993
Ac  0.3316  0.0636  0.9007
Ac  0.4231  0.1681  0.3956
Ac  0.5692  0.6684  0.7321
Ac  0.7725  0.0275  0.6044
Ac  0.8319  0.2275  0.2550
Ac  0.9364  0.8371  0.2679
Ac  0.9725  0.5769  0.7450
La  0.2500  0.7500  0.5000
Sm  0.0000  0.0000  0.0000
Sm  0.2289  0.3253  0.6987
Sm  0.4698  0.7711  0.0965
Sm  0.6267  0.5302  0.3013
Sm  0.6747  0.3733  0.9035



Entry 8:
Starting from a DFT-relaxed cell (GGA-PBE, Alexandria), the powder diffractogram of Ac2La2Sm7 was calculated for Cu Kα (weighted mean of Kα1 and Kα2).

The 12 most intense peaks (10 to 90 degrees two-theta), most intense first:
31.8°, I 100.0
29.6°, I 31.5
33.3°, I 19.9
29.7°, I 19.1
26.8°, I 17.1
58.0°, I 17.0
53.9°, I 16.0
25.8°, I 15.8
42.5°, I 11.7
61.5°, I 10.1
47.7°, I 9.9
48.6°, I 9.5

Structural model:
a b c (Å): 11.0099 11.0099 11.0099
angles (deg): 160.41 70.04 113.53
Atoms (fractional coordinates):
Ac  0.0000  0.0000  0.0000
Ac  0.7186  0.2186  0.5000
La  0.3488  0.9738  0.3750
La  0.5987  0.9738  0.6250
Sm  0.0547  0.2146  0.8401
Sm  0.1658  0.4688  0.6971
Sm  0.2660  0.7660  0.5000
Sm  0.3745  0.2146  0.1599
Sm  0.5369  0.7156  0.8213
Sm  0.7717  0.4688  0.3029
Sm  0.8943  0.7156  0.1787



Entry 9:
Starting from a DFT-relaxed cell (GGA-PBE, Alexandria), the powder diffractogram of Ac4La3Sm was calculated for Cu Kα (weighted mean of Kα1 and Kα2).

The 12 most intense peaks (10 to 90 degrees two-theta), most intense first:
28.4°, I 100.0
32.7°, I 35.1
55.8°, I 31.0
47.3°, I 24.0
33.1°, I 15.9
56.3°, I 13.2
47.0°, I 13.0
58.7°, I 12.7
76.3°, I 10.9
87.6°, I 8.6
75.9°, I 6.3
78.1°, I 6.0

Structural model:
a b c (Å): 5.4736 10.9324 10.8111
angles (deg): 90.00 90.00 90.00
Atoms (fractional coordinates):
Ac  0.2500  0.0007  0.1356
Ac  0.2500  0.2500  0.8655
Ac  0.2500  0.4993  0.1356
Ac  0.2500  0.7500  0.8648
Ac  0.7500  0.2500  0.1352
Ac  0.7500  0.5007  0.8644
Ac  0.7500  0.7500  0.1345
Ac  0.7500  0.9993  0.8644
La  0.2500  0.0004  0.6146
La  0.2500  0.4996  0.6146
La  0.2500  0.7500  0.3855
La  0.7500  0.9996  0.3854
La  0.7500  0.2500  0.6145
La  0.7500  0.5004  0.3854
Sm  0.2500  0.2500  0.3831
Sm  0.7500  0.7500  0.6169



Entry 10:
Starting from a DFT-relaxed cell (GGA-PBE, Alexandria), the powder diffractogram of Ac2La7Sm4 was calculated for Cu Kα (weighted mean of Kα1 and Kα2).

The 12 most intense peaks (10 to 90 degrees two-theta), most intense first:
29.2°, I 100.0
25.8°, I 48.6
31.3°, I 48.0
29.7°, I 46.6
29.0°, I 42.5
34.2°, I 28.0
24.2°, I 22.7
32.3°, I 21.7
33.1°, I 18.4
33.3°, I 18.2
30.6°, I 17.4
33.5°, I 16.2

Structural model:
a b c (Å): 6.5908 8.7221 8.8379
angles (deg): 75.37 84.57 86.55
Atoms (fractional coordinates):
Ac  0.0712  0.2673  0.4865
Ac  0.9288  0.7327  0.5135
La  0.0855  0.5979  0.1279
La  0.1495  0.9593  0.8464
La  0.3891  0.5525  0.7005
La  0.5000  0.0000  0.5000
La  0.6109  0.4475  0.2995
La  0.8505  0.0407  0.1536
La  0.9145  0.4021  0.8721
Sm  0.3544  0.2452  0.0845
Sm  0.3819  0.8344  0.2410
Sm  0.6181  0.1656  0.7590
Sm  0.6456  0.7548  0.9155



Entry 11:
Starting from a DFT-relaxed cell (GGA-PBE, Alexandria), the powder diffractogram of Ac2La4Sm7 was calculated for Cu Kα (weighted mean of Kα1 and Kα2).

The 12 most intense peaks (10 to 90 degrees two-theta), most intense first:
31.0°, I 100.0
28.8°, I 31.3
34.4°, I 30.9
49.5°, I 24.4
26.2°, I 19.5
49.4°, I 16.5
28.0°, I 15.2
59.6°, I 12.4
56.9°, I 12.4
60.8°, I 12.4
33.0°, I 11.4
61.9°, I 10.7

Structural model:
a b c (Å): 6.3773 6.3773 13.5890
angles (deg): 90.00 90.00 120.00
Atoms (fractional coordinates):
Ac  0.3333  0.6667  0.0000
Ac  0.6667  0.3333  0.0000
La  0.0000  0.0000  0.3909
La  0.0000  0.0000  0.6091
La  0.3333  0.6667  0.5000
La  0.6667  0.3333  0.5000
Sm  0.0000  0.0000  0.0000
Sm  0.0000  0.3637  0.2202
Sm  0.0000  0.6363  0.7798
Sm  0.3637  0.0000  0.2202
Sm  0.3637  0.3637  0.7798
Sm  0.6363  0.0000  0.7798
Sm  0.6363  0.6363  0.2202



Entry 12:
Starting from a DFT-relaxed cell (GGA-PBE, Alexandria), the powder diffractogram of Ac3La3Sm was calculated for Cu Kα (weighted mean of Kα1 and Kα2).

The 12 most intense peaks (10 to 90 degrees two-theta), most intense first:
31.2°, I 100.0
28.7°, I 33.2
29.7°, I 19.9
23.3°, I 19.8
52.4°, I 18.8
31.0°, I 13.8
41.8°, I 13.7
25.4°, I 12.8
56.4°, I 10.4
20.5°, I 9.6
53.6°, I 9.3
47.4°, I 9.3

Structural model:
a b c (Å): 8.6582 8.6582 7.6678
angles (deg): 90.02 90.02 88.13
Atoms (fractional coordinates):
Ac  0.1822  0.8178  0.0000
Ac  0.2190  0.2190  0.4996
Ac  0.2258  0.7742  0.5000
Ac  0.7742  0.2258  0.5000
Ac  0.7810  0.7810  0.5004
Ac  0.8178  0.1822  0.0000
La  0.0016  0.4998  0.7615
La  0.4998  0.0016  0.7615
La  0.5002  0.5002  0.2394
La  0.4998  0.4998  0.7606
La  0.5002  0.9984  0.2385
La  0.9984  0.5002  0.2385
Sm  0.2444  0.2444  0.0006
Sm  0.7556  0.7556  0.9994